Structure and calculated X-ray diffraction stick pattern of KGe2Pt4 (a DFT-relaxed cell (GGA-PBE, Alexandria); Cu Kα (λ = 1.5418 Å)).

Structural model:
Cell lengths 7.977, 7.977, 3.995 Å; angles 90.00, 90.00, 90.00 degrees
Fractional coordinates of all 14 atoms:
1 K 0.000 0.000 0.000
2 K 0.500 0.500 0.500
3 Ge 0.226 0.226 0.500
4 Ge 0.274 0.726 0.000
5 Ge 0.726 0.274 0.000
6 Ge 0.774 0.774 0.500
7 Pt 0.084 0.663 0.500
8 Pt 0.163 0.416 0.000
9 Pt 0.337 0.916 0.500
10 Pt 0.416 0.163 0.000
11 Pt 0.584 0.837 0.000
12 Pt 0.663 0.084 0.500
13 Pt 0.837 0.584 0.000
14 Pt 0.916 0.337 0.500

Most intense lines, 10 to 80 degrees two-theta, by intensity:
2θ 15.7, intensity 100; 2θ 39.1, intensity 88; 2θ 42.4, intensity 87; 2θ 33.7, intensity 70; 2θ 47.0, intensity 52; 2θ 62.7, intensity 46; 2θ 45.4, intensity 41; 2θ 35.6, intensity 41; 2θ 40.8, intensity 33; 2θ 67.4, intensity 27